1.
Tm6FeSb2: simulated powder diffractogram (Cu Ka), based on a crystal structure in the Materials Project, relaxed with PBE.

Most intense lines, 10 to 80 degrees two-theta, sorted by position:
Position (°2θ), I_rel
31.05, 100
33.64, 53
33.82, 62
38.51, 24
40.54, 27
44.21, 21
52.05, 17
56.80, 28
61.97, 21
65.06, 14

Crystal structure
```
Tm6FeSb2
1.0
8.097 0.000 0.000
-4.049 7.012 0.000
0.000 0.000 4.098
Tm Fe Sb
6 1 2
direct
0.000 0.394 0.000
0.000 0.766 0.500
0.234 0.234 0.500
0.394 0.000 0.000
0.606 0.606 0.000
0.766 0.000 0.500
0.000 0.000 0.000
0.333 0.667 0.500
0.667 0.333 0.500
```

---

2.
BeGa2O4: simulated powder diffractogram (Cu Ka), based on a crystal structure in the Materials Project, relaxed with PBE.

Most intense lines, 10 to 80 degrees two-theta, sorted by position:
Position (°2θ), I_rel
13.06, 29
16.35, 29
23.69, 33
24.79, 29
26.29, 62
32.58, 86
35.01, 100
40.08, 40
50.52, 41
67.83, 36

Crystal structure
```
BeGa2O4
1.0
7.830 0.000 0.000
-3.915 6.781 0.000
0.000 0.000 9.020
Be Ga O
6 12 24
direct
0.062 0.560 0.000
0.274 0.110 0.825
0.440 0.501 0.667
0.499 0.938 0.333
0.836 0.726 0.158
0.890 0.164 0.491
0.075 0.582 0.319
0.080 0.565 0.665
0.247 0.075 0.161
0.261 0.106 0.506
0.418 0.493 0.986
0.435 0.515 0.332
0.485 0.920 0.999
0.507 0.925 0.652
0.828 0.753 0.494
0.845 0.739 0.840
0.894 0.155 0.173
0.925 0.172 0.827
0.009 0.658 0.499
0.029 0.007 0.828
0.305 0.654 0.999
0.334 0.025 0.676
0.342 0.027 0.336
0.342 0.351 0.165
0.346 0.054 0.980
0.346 0.652 0.666
0.348 0.695 0.332
0.359 0.352 0.811
0.387 0.380 0.509
0.620 0.008 0.176
0.648 0.007 0.478
0.649 0.991 0.832
0.686 0.658 0.669
0.691 0.666 0.010
0.708 0.654 0.313
0.946 0.292 0.647
0.973 0.314 0.002
0.975 0.309 0.343
0.977 0.971 0.162
0.992 0.613 0.843
0.993 0.023 0.495
0.993 0.641 0.145
```

---

3.
GaCuTe2: simulated powder diffractogram (Cu Ka), based on a crystal structure in the Materials Project, relaxed with PBE.

Most intense lines, 10 to 80 degrees two-theta, sorted by position:
Position (°2θ), I_rel
27.02, 11
31.34, 100
44.82, 37
44.99, 35
53.17, 5
55.71, 19
56.00, 6
65.39, 11
74.18, 16
74.42, 14

Crystal structure
```
GaCuTe2
1.0
4.044 0.000 0.000
-2.022 3.502 0.000
0.000 0.000 19.707
Ga Cu Te
3 3 6
direct
0.000 0.000 0.000
0.333 0.667 0.667
0.667 0.333 0.333
0.000 0.000 0.500
0.333 0.667 0.167
0.667 0.333 0.833
0.000 0.000 0.244
0.000 0.000 0.756
0.333 0.667 0.422
0.333 0.667 0.911
0.667 0.333 0.089
0.667 0.333 0.578
```

---

4.
Nd5Mg: simulated powder diffractogram (Cu Ka), based on a crystal structure in the Materials Project, relaxed with PBE.

Most intense lines, 10 to 80 degrees two-theta, sorted by position:
Position (°2θ), I_rel
28.13, 19
28.92, 20
30.39, 36
32.06, 100
32.75, 37
41.90, 15
50.76, 16
55.06, 22
60.32, 19
60.45, 13

Crystal structure
```
Nd5Mg
1.0
5.882 0.000 0.000
0.000 3.697 0.000
0.000 0.000 18.530
Nd Mg
10 2
direct
0.000 0.000 0.000
0.000 0.000 0.325
0.000 0.500 0.500
0.000 0.500 0.825
0.500 0.000 0.207
0.500 0.000 0.548
0.500 0.000 0.877
0.500 0.500 0.048
0.500 0.500 0.377
0.500 0.500 0.707
0.000 0.000 0.660
0.000 0.500 0.160
```

---

5.
K3CeCl6: simulated powder diffractogram (Cu Ka), based on a crystal structure in the Materials Project, relaxed with PBE.

Most intense lines, 10 to 80 degrees two-theta, sorted by position:
Position (°2θ), I_rel
13.39, 55
15.47, 74
21.94, 78
25.79, 24
31.23, 100
35.03, 36
38.49, 35
44.75, 66
55.57, 22
74.00, 26

Crystal structure
```
K3CeCl6
1.0
0.000 5.729 5.729
5.729 0.000 5.729
5.729 5.729 0.000
K Ce Cl
3 1 6
direct
0.000 0.000 0.000
0.250 0.250 0.250
0.750 0.750 0.750
0.500 0.500 0.500
0.261 0.261 0.739
0.261 0.739 0.261
0.261 0.739 0.739
0.739 0.261 0.261
0.739 0.261 0.739
0.739 0.739 0.261
```

---

6.
Cr11NiS16: simulated powder diffractogram (Cu Ka), based on a crystal structure in the Materials Project, relaxed with PBE.

Most intense lines, 10 to 80 degrees two-theta, sorted by position:
Position (°2θ), I_rel
15.87, 45
16.85, 49
29.77, 54
33.72, 100
34.09, 70
44.01, 94
44.60, 82
44.74, 49
52.57, 83
52.96, 43

Crystal structure
```
Cr11NiS16
1.0
6.285 -1.729 0.000
6.285 1.729 0.000
-1.477 0.000 21.494
Cr Ni S
11 1 16
direct
0.000 0.000 0.000
0.055 0.055 0.324
0.194 0.194 0.930
0.249 0.249 0.251
0.308 0.308 0.566
0.445 0.445 0.180
0.555 0.555 0.820
0.692 0.692 0.434
0.751 0.751 0.749
0.806 0.806 0.070
0.945 0.945 0.676
0.500 0.500 0.500
0.011 0.011 0.888
0.111 0.111 0.744
0.138 0.138 0.506
0.236 0.236 0.363
0.263 0.263 0.138
0.361 0.361 0.994
0.389 0.389 0.755
0.488 0.488 0.610
0.512 0.512 0.390
0.611 0.611 0.245
0.639 0.639 0.006
0.737 0.737 0.862
0.764 0.764 0.637
0.862 0.862 0.494
0.889 0.889 0.256
0.989 0.989 0.112
```

---

7.
Li4NCl: simulated powder diffractogram (Cu Ka), based on a crystal structure in the Materials Project, relaxed with PBE.

Most intense lines, 10 to 80 degrees two-theta, sorted by position:
Position (°2θ), I_rel
13.33, 19
26.84, 46
28.52, 17
29.58, 100
33.51, 33
36.21, 25
42.69, 17
46.36, 26
49.84, 38
57.51, 22

Crystal structure
```
Li4NCl
1.0
1.830 1.056 6.643
-1.830 1.056 6.643
0.000 -2.113 6.643
Li N Cl
4 1 1
direct
0.097 0.097 0.097
0.345 0.345 0.345
0.655 0.655 0.655
0.903 0.903 0.903
0.000 0.000 0.000
0.500 0.500 0.500
```

---

8.
MgV4S8: simulated powder diffractogram (Cu Ka), based on a crystal structure in the Materials Project, relaxed with PBE.

Most intense lines, 10 to 80 degrees two-theta, sorted by position:
Position (°2θ), I_rel
15.40, 25
15.73, 29
30.26, 7
30.43, 11
36.64, 100
52.34, 32
53.23, 30
64.79, 5
66.36, 15
77.90, 9

Crystal structure
```
MgV4S8
1.0
3.442 1.987 5.755
-3.442 1.987 5.755
0.000 -3.974 5.755
Mg V S
1 4 8
direct
0.000 0.000 0.000
0.000 0.500 0.500
0.500 0.000 0.500
0.500 0.500 0.000
0.500 0.500 0.500
0.255 0.255 0.255
0.256 0.256 0.737
0.256 0.737 0.256
0.263 0.744 0.744
0.737 0.256 0.256
0.744 0.263 0.744
0.744 0.744 0.263
0.745 0.745 0.745
```

---

9.
KI2O6: simulated powder diffractogram (Cu Ka), based on a crystal structure in the Materials Project, relaxed with PBE.

Most intense lines, 10 to 80 degrees two-theta, sorted by position:
Position (°2θ), I_rel
15.68, 18
17.55, 17
26.71, 100
30.37, 12
31.23, 18
32.12, 11
44.12, 26
51.77, 13
52.82, 12
52.95, 9

Crystal structure
```
KI2O6
1.0
0.000 20.211 5.886
4.059 0.000 5.886
4.059 20.211 0.000
K I O
6 12 36
direct
0.000 0.000 0.000
0.105 0.904 0.094
0.156 0.353 0.145
0.250 0.250 0.250
0.353 0.156 0.346
0.904 0.105 0.897
0.033 0.453 0.066
0.184 0.803 0.217
0.321 0.701 0.280
0.392 0.617 0.426
0.453 0.033 0.447
0.553 0.970 0.549
0.617 0.392 0.564
0.686 0.824 0.633
0.701 0.321 0.697
0.803 0.184 0.797
0.824 0.686 0.858
0.970 0.553 0.929
0.123 0.552 0.902
0.123 0.630 0.684
0.133 0.683 0.398
0.166 0.179 0.933
0.179 0.166 0.722
0.199 0.974 0.404
0.206 0.495 0.957
0.218 0.597 0.450
0.293 0.908 0.044
0.317 0.528 0.084
0.328 0.894 0.472
0.348 0.827 0.127
0.436 0.590 0.472
0.464 0.852 0.567
0.495 0.206 0.342
0.514 0.800 0.653
0.528 0.317 0.071
0.552 0.123 0.423
0.566 0.688 0.127
0.590 0.436 0.502
0.597 0.218 0.736
0.630 0.123 0.562
0.683 0.133 0.786
0.688 0.566 0.620
0.748 0.778 0.660
0.778 0.748 0.814
0.778 0.944 0.922
0.800 0.514 0.032
0.827 0.348 0.698
0.827 0.846 0.276
0.846 0.827 0.051
0.852 0.464 0.117
0.894 0.328 0.306
0.908 0.293 0.755
0.944 0.778 0.356
0.974 0.199 0.423
```